Diffraction record for BaReH9. The PXRD pattern is simulated, not measured: it uses a structure optimized by DFT (PBE) and Cu Kα (λ = 1.5418 Å).

Cell and atoms:
Unit cell a=7.1699 b=7.1699 c=7.4832 alpha=90.00 beta=90.00 gamma=120.00
Space group P3 (No. 143)
Asymmetric unit:
Ba (0.0000, 0.0000, 0.0000) [1 per cell]
Ba (0.3333, 0.6667, 0.3002) [1 per cell]
Ba (0.6667, 0.3333, 0.6720) [1 per cell]
Re (0.0000, 0.0000, 0.5089) [1 per cell]
Re (0.3333, 0.6667, 0.7857) [1 per cell]
Re (0.6667, 0.3333, 0.1803) [1 per cell]
H (0.0244, 0.8418, 0.3480) [3 per cell]
H (0.1088, 0.4242, 0.7845) [3 per cell]
H (0.1511, 0.6355, 0.6232) [3 per cell]
H (0.1612, 0.6674, 0.9453) [3 per cell]
H (0.1803, 0.1552, 0.6723) [3 per cell]
H (0.2366, 0.0066, 0.5043) [3 per cell]
H (0.4171, 0.1153, 0.1818) [3 per cell]
H (0.5037, 0.3473, 0.0201) [3 per cell]
H (0.5148, 0.3655, 0.3413) [3 per cell]

The 10 most intense peaks (2θ = 5–70°), sorted by position:
24.84 deg, d 3.585, intensity 100, (1 1 0)
27.84 deg, d 3.205, intensity 71, (1 0 2)
37.65 deg, d 2.389, intensity 32, (0 2 2)
43.74 deg, d 2.070, intensity 22, (3 0 0)
45.63 deg, d 1.988, intensity 38, (2 1 2)
50.96 deg, d 1.792, intensity 25, (2 2 0)
57.52 deg, d 1.602, intensity 8, (2 0 4)
59.05 deg, d 1.564, intensity 18, (1 3 2)
63.60 deg, d 1.463, intensity 12, (1 2 4)
69.35 deg, d 1.355, intensity 12, (4 1 0)



Diffraction record for K4BaGe3O9. The PXRD pattern is simulated, not measured: it uses a structure optimized by DFT (PBE) and Cu Kα (λ = 1.5418 Å).

Cell and atoms:
Unit cell a=8.5061 b=12.5196 c=11.5656 alpha=90.00 beta=90.49 gamma=90.00
Space group C2 (No. 5)
Asymmetric unit:
K (0.0000, 0.0000, 0.0000) [2 per cell]
K (0.0000, 0.0201, 0.5000) [2 per cell]
K (0.0000, 0.4316, 0.5000) [2 per cell]
K (0.0000, 0.4833, 0.0000) [2 per cell]
K (0.0532, 0.7968, 0.2543) [4 per cell]
K (0.2256, 0.5009, 0.2509) [4 per cell]
Ba (0.0074, 0.2430, 0.7703) [4 per cell]
Ge (0.1960, 0.7297, 0.9691) [4 per cell]
Ge (0.1970, 0.7226, 0.5244) [4 per cell]
Ge (0.2215, 0.5444, 0.7419) [4 per cell]
O (0.0000, 0.7793, 0.5000) [2 per cell]
O (0.0000, 0.7823, 0.0000) [2 per cell]
O (0.0745, 0.0253, 0.2491) [4 per cell]
O (0.0997, 0.4355, 0.7608) [4 per cell]
O (0.1541, 0.6471, 0.8414) [4 per cell]
O (0.1699, 0.5947, 0.5981) [4 per cell]
O (0.1996, 0.3401, 0.0782) [4 per cell]
O (0.2129, 0.3163, 0.3856) [4 per cell]
O (0.2181, 0.1897, 0.6078) [4 per cell]
O (0.2296, 0.1526, 0.9177) [4 per cell]

The 10 most intense peaks (2θ = 5–70°), sorted by position:
14.15 deg, d 6.260, intensity 46, (0 2 0)
19.80 deg, d 4.483, intensity 26, (1 1 -2)
19.94 deg, d 4.452, intensity 29, (1 1 2)
28.40 deg, d 3.143, intensity 48, (1 3 2)
28.52 deg, d 3.130, intensity 42, (0 4 0)
29.63 deg, d 3.015, intensity 100, (2 2 -2)
29.82 deg, d 2.996, intensity 84, (2 2 2)
30.93 deg, d 2.891, intensity 49, (0 0 4)
32.38 deg, d 2.765, intensity 29, (3 1 0)
42.55 deg, d 2.125, intensity 45, (0 4 4)



Diffraction record for CeAgAs2. The PXRD pattern is simulated, not measured: it uses a structure optimized by DFT (PBE) and Cu Kα (λ = 1.5418 Å).

Cell and atoms:
Unit cell a=5.7794 b=5.7772 c=20.4477 alpha=90.00 beta=90.00 gamma=90.00
Space group Cmce (No. 64)
Asymmetric unit:
Ce (0.0000, 0.2431, 0.1114) [8 per cell]
Ag (0.2500, 0.0119, 0.7500) [8 per cell]
As (0.0000, 0.2413, 0.3435) [8 per cell]
As (0.2471, 0.0000, 0.5000) [8 per cell]

The 10 most intense peaks (2θ = 5–70°), sorted by position:
8.65 deg, d 10.224, intensity 8, (0 0 2)
23.45 deg, d 3.794, intensity 9, (1 1 2)
27.96 deg, d 3.192, intensity 14, (1 1 4)
35.11 deg, d 2.556, intensity 16, (0 0 8)
35.70 deg, d 2.515, intensity 100, (2 0 4)
41.68 deg, d 2.167, intensity 13, (1 1 8)
44.34 deg, d 2.043, intensity 31, (2 2 0)
57.77 deg, d 1.596, intensity 15, (2 2 8)
62.48 deg, d 1.486, intensity 7, (3 1 8)
64.51 deg, d 1.445, intensity 10, (4 0 0)